# NdTl2AgF6
Computed powder X-ray diffraction pattern, Cu Kα X-rays. Input: a PBE-relaxed structure.

Top 10 peaks for 10 to 80 degrees two-theta, sorted by position:
26.8°, intensity 1000, (1 1 1); 26.9°, intensity 437, (0 2 0); 27.2°, intensity 950, (1 1 -3); 27.7°, intensity 449, (2 0 -2); 38.1°, intensity 281, (0 0 4); 39.0°, intensity 437, (2 2 -2); 47.2°, intensity 218, (0 2 4); 47.5°, intensity 163, (1 3 1); 48.1°, intensity 241, (3 1 -1); 49.0°, intensity 221, (3 1 -5)

Crystal structure
abc: 6.4477 6.6229 11.3189
angles: 90.00 123.36 90.00
Space group P2_1/c (No. 14)
One atom of each set of equivalent atoms:
Nd (0.0000, 0.0000, 0.0000) [2 per cell]
Tl (0.2677, 0.0428, 0.7532) [4 per cell]
Ag (0.5000, 0.0000, 0.5000) [2 per cell]
F (0.1335, 0.0371, 0.2333) [4 per cell]
F (0.2419, 0.7167, 0.0540) [4 per cell]
F (0.3319, 0.1912, 0.0420) [4 per cell]

# In4HgBi
Computed powder X-ray diffraction pattern, Cu Kα X-rays. Input: a PBE-relaxed structure.

Top 10 peaks for 10 to 80 degrees two-theta, sorted by position:
21.7°, intensity 247, (0 2 0); 22.4°, intensity 445, (1 1 1); 24.4°, intensity 393, (2 1 0); 29.3°, intensity 631, (1 2 1); 31.0°, intensity 352, (2 2 0); 32.8°, intensity 640, (0 0 2); 38.4°, intensity 896, (1 3 -1); 38.7°, intensity 1000, (3 1 1); 60.9°, intensity 215, (2 4 2); 62.3°, intensity 218, (1 3 -3)

Crystal structure
abc: 8.1311 8.2067 5.4686
angles: 90.00 90.19 90.00
Space group P2_1/c (No. 14)
One atom of each set of equivalent atoms:
In (0.1353, 0.1415, 0.0012) [4 per cell]
In (0.3337, 0.6350, 0.9991) [4 per cell]
Hg (0.0000, 0.0000, 0.5000) [2 per cell]
Bi (0.5000, 0.0000, 0.0000) [2 per cell]

# NaAcGdTl
Computed powder X-ray diffraction pattern, Cu Kα X-rays. Input: a PBE-relaxed structure.

Top 10 peaks for 10 to 80 degrees two-theta, sorted by position:
19.1°, intensity 214, (1 1 1); 22.1°, intensity 76, (2 0 0); 31.4°, intensity 1000, (2 2 0); 37.0°, intensity 126, (3 1 1); 45.1°, intensity 188, (4 0 0); 49.3°, intensity 57, (3 3 1); 56.0°, intensity 399, (4 2 2); 59.7°, intensity 44, (5 1 1); 65.6°, intensity 124, (4 4 0); 74.6°, intensity 171, (6 2 0)

Crystal structure
abc: 8.0495 8.0495 8.0495
angles: 90.00 90.00 90.00
Space group F-43m (No. 216)
One atom of each set of equivalent atoms:
Na (0.0000, 0.0000, 0.0000) [4 per cell]
Ac (0.2500, 0.2500, 0.7500) [4 per cell]
Gd (0.2500, 0.2500, 0.2500) [4 per cell]
Tl (0.0000, 0.0000, 0.5000) [4 per cell]

# EuB6
Computed powder X-ray diffraction pattern, Cu Kα X-rays. Input: a PBE-relaxed structure.

Top 10 peaks for 10 to 80 degrees two-theta, sorted by position:
21.3°, intensity 654, (1 0 0); 30.4°, intensity 1000, (1 1 0); 37.4°, intensity 418, (1 1 1); 43.5°, intensity 213, (2 0 0); 48.9°, intensity 497, (2 1 0); 54.0°, intensity 278, (2 1 1); 63.2°, intensity 101, (2 2 0); 67.5°, intensity 279, (2 2 1); 71.7°, intensity 198, (3 1 0); 75.8°, intensity 130, (3 1 1)

Crystal structure
abc: 4.1626 4.1626 4.1626
angles: 90.00 90.00 90.00
Space group Pm-3m (No. 221)
One atom of each set of equivalent atoms:
Eu (0.0000, 0.0000, 0.0000) [1 per cell]
B (0.2014, 0.5000, 0.5000) [6 per cell]

# Th3Ga2Pd7
Computed powder X-ray diffraction pattern, Cu Kα X-rays. Input: a PBE-relaxed structure.

Top 10 peaks for 10 to 80 degrees two-theta, sorted by position:
32.0°, intensity 144, (1 1 -2); 33.9°, intensity 197, (0 1 4); 34.5°, intensity 1000, (1 1 -3); 36.2°, intensity 192, (1 0 4); 38.1°, intensity 263, (1 1 3); 43.0°, intensity 275, (2 0 -1); 44.1°, intensity 256, (0 2 0); 63.3°, intensity 174, (2 2 -1); 65.5°, intensity 134, (1 1 8); 73.3°, intensity 113, (3 1 -4)

Crystal structure
abc: 4.2092 4.1065 13.9953
angles: 90.00 98.52 90.00
Space group P2/m (No. 10)
One atom of each set of equivalent atoms:
Th (0.0000, 0.0000, 0.0000) [1 per cell]
Th (0.3221, 0.5000, 0.6415) [2 per cell]
Ga (0.1294, 0.0000, 0.2608) [2 per cell]
Pd (0.0776, 0.5000, 0.1549) [2 per cell]
Pd (0.2202, 0.0000, 0.4394) [2 per cell]
Pd (0.4220, 0.0000, 0.8441) [2 per cell]
Pd (0.5000, 0.5000, 0.0000) [1 per cell]

# Pr4SnTeN
Computed powder X-ray diffraction pattern, Cu Kα X-rays. Input: a PBE-relaxed structure.

Top 10 peaks for 10 to 80 degrees two-theta, sorted by position:
28.1°, intensity 702, (0 2 2); 28.3°, intensity 686, (2 2 0); 30.8°, intensity 612, (0 6 0); 31.7°, intensity 295, (1 5 1); 33.3°, intensity 758, (0 4 2); 33.6°, intensity 745, (2 4 0); 37.4°, intensity 1000, (2 0 2); 49.2°, intensity 662, (2 6 2); 61.7°, intensity 283, (2 2 4); 64.8°, intensity 262, (2 4 4)

Crystal structure
abc: 6.7635 17.4084 6.8324
angles: 90.00 90.00 90.00
Space group Cmcm (No. 63)
One atom of each set of equivalent atoms:
Pr (0.0000, 0.0768, 0.2500) [4 per cell]
Pr (0.0000, 0.4188, 0.2500) [4 per cell]
Pr (0.2500, 0.2500, 0.0000) [8 per cell]
Sn (0.0000, 0.3914, 0.7500) [4 per cell]
Te (0.0000, 0.1105, 0.7500) [4 per cell]
N (0.0000, 0.2792, 0.2500) [4 per cell]

# Np2SiPd6
Computed powder X-ray diffraction pattern, Cu Kα X-rays. Input: a PBE-relaxed structure.

Top 10 peaks for 10 to 80 degrees two-theta, sorted by position:
25.1°, intensity 273, (1 1 1); 30.2°, intensity 341, (0 0 2); 31.7°, intensity 297, (2 0 -2); 33.5°, intensity 262, (1 1 -2); 38.2°, intensity 523, (4 0 0); 38.4°, intensity 1000, (2 2 -1); 39.6°, intensity 223, (2 0 2); 41.9°, intensity 655, (2 2 1); 43.1°, intensity 265, (4 0 -2); 66.7°, intensity 235, (6 2 -1)

Crystal structure
abc: 9.6949 5.6529 6.0904
angles: 90.00 103.58 90.00
Space group C2/m (No. 12)
One atom of each set of equivalent atoms:
Np (0.1444, 0.0000, 0.3496) [4 per cell]
Si (0.0000, 0.5000, 0.5000) [2 per cell]
Pd (0.1283, 0.2447, 0.8131) [8 per cell]
Pd (0.1279, 0.5000, 0.2061) [4 per cell]

# NaAc12Co6
Computed powder X-ray diffraction pattern, Cu Kα X-rays. Input: a PBE-relaxed structure.

Top 10 peaks for 10 to 80 degrees two-theta, sorted by position:
26.2°, intensity 828, (3 0 1); 28.8°, intensity 396, (2 2 2); 31.1°, intensity 1000, (3 1 2); 39.3°, intensity 195, (3 3 2); 42.9°, intensity 253, (5 0 1); 49.5°, intensity 477, (5 3 0); 52.5°, intensity 417, (5 2 3); 73.8°, intensity 191, (6 5 3); 75.0°, intensity 197, (8 2 2); 76.2°, intensity 208, (8 3 1)

Crystal structure
abc: 10.7440 10.7440 10.7440
angles: 90.00 90.00 90.00
Space group Im-3 (No. 204)
One atom of each set of equivalent atoms:
Na (0.0000, 0.0000, 0.0000) [2 per cell]
Ac (0.0000, 0.3172, 0.1904) [24 per cell]
Co (0.0000, 0.1072, 0.5000) [12 per cell]